# Li9Co7O16
Theoretical PXRD pattern, a wavelength of 1.5418 Å. Input: a cell relaxed with GGA+U.
Neutral-atom scattering factors, no anomalous dispersion.

Structure:
```
32
Lattice="2.874 1.659 9.537 -2.874 1.659 9.537 0.000 -3.318 9.537" Properties=species:S:1:pos:R:3 pbc="T T T"
Li 0.000 0.000 0.000
Li 0.000 -1.667 11.901
Li -1.444 0.834 11.901
Li -1.444 -0.834 16.711
Li 0.000 0.000 7.187
Li 0.000 0.000 21.424
Li 1.444 0.834 11.901
Li 1.444 -0.834 16.711
Li 0.000 1.667 16.711
Co -2.874 0.000 14.306
Co -1.437 0.830 4.769
Co -1.437 -0.830 9.537
Co 1.437 0.830 4.769
Co -1.437 0.830 19.074
Co 0.000 1.659 9.537
Co 0.000 0.000 14.306
O 0.000 0.000 3.601
O -1.389 -0.802 13.205
O 0.000 -1.548 8.522
O -1.341 0.774 8.522
O 0.000 0.000 10.558
O 0.000 -1.603 15.406
O -1.389 0.802 15.406
O -1.341 -0.774 20.090
O 1.341 0.774 8.522
O 1.389 -0.802 13.205
O 0.000 1.603 13.205
O 0.000 0.000 18.053
O 1.341 -0.774 20.090
O 0.000 1.548 20.090
O 1.389 0.802 15.406
O 0.000 0.000 25.010
```

The 10 most intense peaks (10 to 80 degrees two-theta), by intensity:
Position (°2θ)	Rel. int.
18.61	100
44.35	78
36.65	39
64.90	21
64.13	21
58.43	14
68.17	14
48.48	13
38.29	12
18.09	7